Entry 1:
This entry pairs a crystal structure of Ti6HPt2 with its theoretical XRD peak list. Radiation: CuKα. Structure: DFT lattice parameters and positions (PBE).
Intensities are scaled so that the largest is 100.

Main lines, low angle first (2θ = 5–70°):
(0 2 0), 2θ 13.54, I 37; (0 1 1), 2θ 13.96, I 61; (0 3 1), 2θ 23.81, I 73; (0 0 2), 2θ 24.53, I 37; (0 5 1), 2θ 36.51, I 32; (0 1 3), 2θ 37.82, I 35; (1 3 1), 2θ 39.68, I 100; (1 0 2), 2θ 40.15, I 33; (1 2 2), 2θ 42.56, I 43; (0 6 2), 2θ 48.77, I 35

Structure:
Lattice parameters (Å, degrees): 2.8600 13.0816 7.2571 90.00 90.00 90.00
Space group Amm2 (No. 38)
Asymmetric unit:
Ti (0.0000, 0.0000, 0.0000)
Ti (0.0000, 0.1080, 0.6795)
Ti (0.5000, 0.0000, 0.3425)
Ti (0.5000, 0.1927, 0.0072)
H (0.5000, 0.0000, 0.7758)
Pt (0.0000, 0.1702, 0.3131)

***

Entry 2:
This entry pairs a crystal structure of Na2Zn2O3 with its theoretical XRD peak list. Radiation: CuKα. Structure: DFT lattice parameters and positions (PBE).
Intensities are scaled so that the largest is 100.

Main lines, low angle first (2θ = 5–70°):
(1 0 1), 2θ 16.94, I 20; (1 1 1), 2θ 22.13, I 81; (2 0 2), 2θ 34.27, I 100; (2 1 2), 2θ 37.24, I 16; (0 0 4), 2θ 37.86, I 31; (2 2 0), 2θ 40.71, I 52; (2 2 4), 2θ 56.80, I 34; (4 0 0), 2θ 58.93, I 13; (2 0 6), 2θ 66.09, I 14; (4 2 2), 2θ 69.97, I 12

Structure:
Lattice parameters (Å, degrees): 6.2689 6.2689 9.5049 90.00 90.00 90.00
Space group P4_32_12 (No. 96)
Asymmetric unit:
Na (0.0308, 0.2475, 0.3558)
Zn (0.0433, 0.2430, 0.8848)
O (0.0145, 0.7421, 0.5924)
O (0.1794, 0.8206, 0.2500)

***

Entry 3:
This entry pairs a crystal structure of Ce2In2Ag3 with its theoretical XRD peak list. Radiation: CuKα. Structure: DFT lattice parameters and positions (PBE).
Intensities are scaled so that the largest is 100.

Main lines, low angle first (2θ = 5–70°):
(0 6 1), 2θ 28.40, I 18; (1 1 2), 2θ 30.93, I 82; (1 5 1), 2θ 31.96, I 100; (1 3 2), 2θ 33.35, I 17; (0 8 0), 2θ 34.87, I 20; (0 4 3), 2θ 38.63, I 43; (2 0 0), 2θ 41.27, I 37; (1 3 3), 2θ 42.38, I 16; (2 4 3), 2θ 57.81, I 25; (1 5 5), 2θ 67.38, I 18

Structure:
Lattice parameters (Å, degrees): 4.3751 20.5818 7.8420 90.00 90.00 90.00
Space group Cmcm (No. 63)
Asymmetric unit:
Ce (0.0000, 0.0559, 0.2500)
Ce (0.0000, 0.1512, 0.7500)
In (0.0000, 0.3126, 0.5532)
Ag (0.0000, 0.2291, 0.2500)
Ag (0.0000, 0.4412, 0.0728)

***

Entry 4:
This entry pairs a crystal structure of Ho2ZnN with its theoretical XRD peak list. Radiation: CuKα. Structure: DFT lattice parameters and positions (PBE).
Intensities are scaled so that the largest is 100.

Main lines, low angle first (2θ = 5–70°):
(0 0 3), 2θ 11.94, I 18; (0 1 2), 2θ 30.77, I 50; (1 0 4), 2θ 33.86, I 100; (0 1 5), 2θ 36.02, I 46; (0 0 9), 2θ 36.35, I 29; (1 0 7), 2θ 41.31, I 20; (0 1 8), 2θ 44.35, I 18; (1 1 0), 2θ 52.66, I 36; (1 0 13), 2θ 62.43, I 18; (1 1 9), 2θ 65.68, I 31

Structure:
Lattice parameters (Å, degrees): 3.4760 3.4760 22.2415 90.00 90.00 120.00
Space group R-3m (No. 166, hexagonal axes)
Asymmetric unit:
Ho (0.0000, 0.0000, 0.2277)
Zn (0.0000, 0.0000, 0.0000)
N (0.0000, 0.0000, 0.5000)